Computed powder XRD pattern of MnTl3S3 for Cu Kα (weighted mean of Kα1 and Kα2), from a crystal structure in Alexandria, relaxed with GGA-PBE.
No peak broadening, texture or thermal motion is included.

Structural model:
```
data_MnTl3S3
_space_group_name_H-M_alt 'P 1 21/c 1'
_space_group_IT_number 14
_cell_length_a 7.733
_cell_length_b 13.141
_cell_length_c 9.901
_cell_angle_alpha 90.00
_cell_angle_beta 128.48
_cell_angle_gamma 90.00
loop_
_space_group_symop_operation_xyz
'x,y,z'
'-x,-y,-z'
'-x,y+1/2,-z+1/2'
'x,-y+1/2,z+1/2'
loop_
_atom_site_label
_atom_site_fract_x
_atom_site_fract_y
_atom_site_fract_z
_atom_site_occupancy
Mn1 0.067 0.052 0.159 1
Tl1 0.089 0.660 0.955 1
Tl2 0.407 0.145 0.012 1
Tl3 0.418 0.090 0.631 1
S1 0.083 0.617 0.608 1
S2 0.136 0.544 0.250 1
S3 0.417 0.120 0.328 1
```

Largest 10 diffraction maxima, low angle first, 2θ = 15–90°:
d [Å]	I (rel.)	h k l
3.875	37.9	0 0 2
3.792	55.2	1 3 -1
3.641	100.0	2 1 -2
3.284	88.8	0 4 0
3.111	54.0	1 1 -3
3.014	70.2	1 4 -1
2.949	87.6	2 1 0
2.880	63.7	1 2 -3
2.856	57.9	1 3 1
2.358	46.8	3 2 -3

Computed powder XRD pattern of Y5Ta for Cu Kα (weighted mean of Kα1 and Kα2), from a crystal structure in Alexandria, relaxed with GGA-PBE.
No peak broadening, texture or thermal motion is included.

Structural model:
```
data_Y5Ta
_space_group_name_H-M_alt 'A m m 2'
_space_group_IT_number 38
_cell_length_a 5.495
_cell_length_b 3.447
_cell_length_c 18.420
_cell_angle_alpha 90.00
_cell_angle_beta 90.00
_cell_angle_gamma 90.00
loop_
_space_group_symop_operation_xyz
'x,y,z'
'-x,-y,z'
'-x,y,z'
'x,-y,z'
'x,y+1/2,z+1/2'
'-x,-y+1/2,z+1/2'
'-x,y+1/2,z+1/2'
'x,-y+1/2,z+1/2'
loop_
_atom_site_label
_atom_site_fract_x
_atom_site_fract_y
_atom_site_fract_z
_atom_site_occupancy
Y1 0.000 0.000 0.000 1
Y2 0.000 0.000 0.306 1
Y3 0.500 0.000 0.205 1
Y4 0.500 0.000 0.552 1
Y5 0.500 0.000 0.880 1
Ta1 0.000 0.000 0.652 1
```

Largest 10 diffraction maxima, low angle first, 2θ = 15–90°:
d [Å]	I (rel.)	h k l
3.006	29.1	0 1 3
2.747	38.9	2 0 0
2.680	54.1	1 0 6
2.637	100.0	1 1 3
2.028	18.7	2 1 3
1.760	16.1	0 1 9
1.564	19.3	3 1 3
1.482	20.2	2 1 9
1.460	10.9	2 2 0
1.450	15.8	1 2 6